This entry pairs a crystal structure of Na2VO3 with its theoretical powder diffractogram. Radiation: Cu Kα X-rays. Structure: the PBE+U geometry in the Materials Project.

Structure:
abc: 6.4450 18.4323 8.9723
angles: 90.00 90.00 90.00
Space group Fdd2 (No. 43)
Symmetry-distinct sites (fractional):
Na (0.0005, 0.2558, 0.0000)
Na (0.0051, 0.0785, 0.5010)
V (0.0168, 0.0862, 0.0033)
O (0.0166, 0.4072, 0.2714)
O (0.0318, 0.0974, 0.2294)
O (0.0541, 0.2553, 0.2503)

Principal peaks in the range 2θ = 10–90°, by angle:
h k l	2θ/deg	I_rel
1 1 1	17.61	57
2 0 2	34.26	26
0 6 2	35.41	22
0 0 4	40.20	56
2 6 0	40.57	100
4 0 0	57.17	13
2 6 4	58.45	56
4 0 4	72.20	12